# 1
Diffraction record for Mg6NiBi. The X-ray diffraction stick pattern is calculated, not measured: it uses a DFT-relaxed cell (PBE, the Materials Project) and Cu Kα, 1.54184 Å.
Neutral-atom scattering factors, no anomalous dispersion.

Top 10 peaks for 2θ = 10–80°, in order of falling intensity:
two_theta  I (rel.)
37.4  100
16.5  60
18.3  47
24.7  45
38.3  45
24.4  44
16.0  43
32.3  40
37.0  31
49.9  23

Atomic structure:
```
data_Mg6NiBi
_cell_length_a 4.8606
_cell_length_b 6.4705
_cell_length_c 10.7400
_cell_angle_alpha 90.00
_cell_angle_beta 90.00
_cell_angle_gamma 90.00
_space_group_name_H-M_alt 'A m m 2'
_space_group_IT_number 38
loop_
_space_group_symop_operation_xyz
'x,y,z'
'-x,-y,z'
'-x,y,z'
'x,-y,z'
'x,y+1/2,z+1/2'
'-x,-y+1/2,z+1/2'
'-x,y+1/2,z+1/2'
'x,-y+1/2,z+1/2'
loop_
_atom_site_label
_atom_site_fract_x
_atom_site_fract_y
_atom_site_fract_z
_atom_site_occupancy
Mg1 0.0000 0.0000 0.0000 1
Mg2 0.0000 0.0000 0.4847 1
Mg3 0.0000 0.2236 0.2378 1
Mg4 0.5000 0.2469 0.9110 1
Ni1 0.5000 0.0000 0.1595 1
Bi1 0.5000 0.0000 0.6602 1
```

***

# 2
Diffraction record for Mg14NiBi. The X-ray diffraction stick pattern is calculated, not measured: it uses a DFT-relaxed cell (PBE, the Materials Project) and Cu Kα, 1.54184 Å.
Neutral-atom scattering factors, no anomalous dispersion.

Top 10 peaks for 2θ = 10–80°, in order of falling intensity:
two_theta  I (rel.)
37.3  100
37.5  50
23.8  46
18.5  45
34.9  38
18.4  34
32.8  32
16.4  29
17.3  26
30.8  24

Atomic structure:
```
data_Mg14NiBi
_cell_length_a 10.2780
_cell_length_b 6.3199
_cell_length_c 10.8326
_cell_angle_alpha 90.00
_cell_angle_beta 90.00
_cell_angle_gamma 90.00
_space_group_name_H-M_alt 'A m m 2'
_space_group_IT_number 38
loop_
_space_group_symop_operation_xyz
'x,y,z'
'-x,-y,z'
'-x,y,z'
'x,-y,z'
'x,y+1/2,z+1/2'
'-x,-y+1/2,z+1/2'
'-x,y+1/2,z+1/2'
'x,-y+1/2,z+1/2'
loop_
_atom_site_label
_atom_site_fract_x
_atom_site_fract_y
_atom_site_fract_z
_atom_site_occupancy
Mg1 0.0000 0.0000 0.0000 1
Mg2 0.0000 0.0000 0.4994 1
Mg3 0.0000 0.2484 0.2508 1
Mg4 0.2422 0.0000 0.6696 1
Mg5 0.2565 0.2394 0.9183 1
Mg6 0.2592 0.0000 0.1624 1
Mg7 0.5000 0.2490 0.7491 1
Ni1 0.5000 0.0000 0.0007 1
Bi1 0.5000 0.0000 0.5029 1
```